The following is a simulated X-ray powder pattern of Ba3GaO5. It was derived from a crystal structure in Alexandria, relaxed with PBE, using Cu Kα X-rays.

The 8 most intense peaks (2θ = 15–90°), sorted by position:
2θ/deg	Rel. int.
28.15	445
28.50	1000
29.85	355
34.51	271
35.38	547
38.75	215
46.27	219
52.16	200

Cell and atoms:
a = 7.9273 Å, b = 7.9273 Å, c = 7.9273 Å
α = 124.76°, β = 124.76°, γ = 81.94°
Fractional coordinates of all 18 atoms:
Ba 0.1757 0.6757 0.8513
Ba 0.2500 0.2500 0.0000
Ba 0.3243 0.1757 0.5000
Ba 0.6757 0.8243 0.5000
Ba 0.7500 0.7500 0.0000
Ba 0.8243 0.3243 0.1487
Ga 0.2500 0.7500 0.5000
Ga 0.7500 0.2500 0.5000
O 0.0000 0.0000 0.0000
O 0.0115 0.7903 0.5000
O 0.2097 0.7097 0.2212
O 0.2903 0.5115 0.5000
O 0.4885 0.9885 0.7788
O 0.5000 0.5000 0.0000
O 0.5115 0.0115 0.2212
O 0.7097 0.4885 0.5000
O 0.7903 0.2903 0.7788
O 0.9885 0.2097 0.5000

---

The following is a simulated X-ray powder pattern of La5TbDy2Tm. It was derived from a crystal structure in Alexandria, relaxed with PBE, using Cu Kα X-rays.

The 8 most intense peaks (2θ = 15–90°), sorted by position:
2θ/deg	Rel. int.
26.52	596
28.23	577
29.72	175
31.47	1000
34.61	276
38.12	161
39.61	191
50.03	177

Cell and atoms:
a = 9.7719 Å, b = 9.7719 Å, c = 9.7719 Å
α = 121.80°, β = 121.80°, γ = 86.91°
Fractional coordinates of all 18 atoms:
La 0.0000 0.0000 0.0000
La 0.0657 0.5657 0.9020
La 0.1637 0.0657 0.5000
La 0.3363 0.8363 0.9020
La 0.4343 0.3363 0.5000
La 0.5000 0.5000 0.0000
La 0.5657 0.6637 0.5000
La 0.6637 0.1637 0.0980
La 0.8363 0.9343 0.5000
La 0.9343 0.4343 0.0980
Tb 0.2500 0.2500 0.0000
Tb 0.7500 0.7500 0.0000
Dy 0.1085 0.3915 0.5000
Dy 0.3915 0.8915 0.2830
Dy 0.6085 0.1085 0.7170
Dy 0.8915 0.6085 0.5000
Tm 0.2500 0.7500 0.5000
Tm 0.7500 0.2500 0.5000

---

The following is a simulated X-ray powder pattern of Th6NiRh10. It was derived from a crystal structure in Alexandria, relaxed with PBE, using Cu Kα X-rays.

The 8 most intense peaks (2θ = 15–90°), sorted by position:
2θ/deg	Rel. int.
26.41	328
30.06	243
37.37	796
38.02	1000
49.21	337
54.37	253
68.26	237
75.54	284

Cell and atoms:
a = 8.1994 Å, b = 8.1994 Å, c = 5.9451 Å
α = 90.00°, β = 90.00°, γ = 120.00°
Fractional coordinates of all 17 atoms:
Th 0.0000 0.3147 0.2518
Th 0.0000 0.6853 0.7482
Th 0.3147 0.0000 0.2518
Th 0.3147 0.3147 0.7482
Th 0.6853 0.0000 0.7482
Th 0.6853 0.6853 0.2518
Ni 0.0000 0.0000 0.5000
Rh 0.0000 0.3562 0.7505
Rh 0.0000 0.6438 0.2495
Rh 0.3333 0.6667 0.0000
Rh 0.3333 0.6667 0.5000
Rh 0.3562 0.0000 0.7505
Rh 0.3562 0.3562 0.2495
Rh 0.6438 0.0000 0.2495
Rh 0.6438 0.6438 0.7505
Rh 0.6667 0.3333 0.0000
Rh 0.6667 0.3333 0.5000

---

The following is a simulated X-ray powder pattern of Ac2GePd3. It was derived from a crystal structure in Alexandria, relaxed with PBE, using Cu Kα X-rays.

The 8 most intense peaks (2θ = 15–90°), sorted by position:
2θ/deg	Rel. int.
26.38	160
26.65	157
31.42	1000
34.61	285
34.81	239
41.65	194
42.36	185
55.37	148

Cell and atoms:
a = 8.6363 Å, b = 8.6363 Å, c = 8.6363 Å
α = 151.39°, β = 150.92°, γ = 41.25°
Fractional coordinates of all 6 atoms:
Ac 0.0000 0.0000 0.0000
Ac 0.7426 0.2426 0.5000
Ge 0.4074 0.4074 0.0000
Pd 0.1638 0.6638 0.5000
Pd 0.3320 0.8320 0.5000
Pd 0.5636 0.5636 0.0000

---

The following is a simulated X-ray powder pattern of Tl2W2Se5. It was derived from a crystal structure in Alexandria, relaxed with PBE, using Cu Kα X-rays.

The 8 most intense peaks (2θ = 15–90°), sorted by position:
2θ/deg	Rel. int.
22.73	1000
23.89	425
26.05	447
27.55	269
30.22	277
36.37	453
40.98	237
45.28	257

Cell and atoms:
a = 7.3718 Å, b = 7.3718 Å, c = 8.0661 Å
α = 99.33°, β = 99.33°, γ = 39.15°
Fractional coordinates of all 9 atoms:
Tl 0.1115 0.1115 0.3180
Tl 0.8885 0.8885 0.6820
W 0.3539 0.3539 0.1196
W 0.6461 0.6461 0.8804
Se 0.1870 0.1870 0.9413
Se 0.3534 0.3534 0.4119
Se 0.5000 0.5000 0.0000
Se 0.6466 0.6466 0.5881
Se 0.8130 0.8130 0.0587

---

The following is a simulated X-ray powder pattern of CoSe2Br. It was derived from a crystal structure in Alexandria, relaxed with PBE, using Cu Kα X-rays.

The 8 most intense peaks (2θ = 15–90°), sorted by position:
2θ/deg	Rel. int.
30.77	284
31.53	302
31.68	1000
35.93	577
47.73	255
50.09	231
51.99	325
55.09	241

Cell and atoms:
a = 4.7465 Å, b = 3.6424 Å, c = 5.1144 Å
α = 90.00°, β = 109.59°, γ = 90.00°
Fractional coordinates of all 4 atoms:
Co 0.0000 0.0000 0.0000
Se 0.3411 0.5000 0.1438
Se 0.6589 0.5000 0.8562
Br 0.0000 0.0000 0.5000

---

The following is a simulated X-ray powder pattern of Zr11In9Pd4. It was derived from a crystal structure in Alexandria, relaxed with PBE, using Cu Kα X-rays.

The 8 most intense peaks (2θ = 15–90°), sorted by position:
2θ/deg	Rel. int.
33.99	440
35.15	348
35.65	914
36.78	1000
36.90	990
38.31	287
38.98	370
54.83	283

Cell and atoms:
a = 12.8573 Å, b = 12.8573 Å, c = 3.3485 Å
α = 90.00°, β = 90.00°, γ = 112.97°
Fractional coordinates of all 24 atoms:
Zr 0.0000 0.0000 0.0000
Zr 0.0538 0.4088 0.0000
Zr 0.1557 0.8443 0.0000
Zr 0.3088 0.3088 0.0000
Zr 0.3746 0.6254 0.0000
Zr 0.4088 0.0538 0.0000
Zr 0.5912 0.9462 0.0000
Zr 0.6254 0.3746 0.0000
Zr 0.6912 0.6912 0.0000
Zr 0.8443 0.1557 0.0000
Zr 0.9462 0.5912 0.0000
In 0.0711 0.2174 0.5000
In 0.1603 0.6311 0.5000
In 0.2174 0.0711 0.5000
In 0.3689 0.8397 0.5000
In 0.5000 0.5000 0.5000
In 0.6311 0.1603 0.5000
In 0.7826 0.9289 0.5000
In 0.8397 0.3689 0.5000
In 0.9289 0.7826 0.5000
Pd 0.2453 0.4480 0.5000
Pd 0.4480 0.2453 0.5000
Pd 0.5520 0.7547 0.5000
Pd 0.7547 0.5520 0.5000

---

The following is a simulated X-ray powder pattern of ThMn6. It was derived from a crystal structure in Alexandria, relaxed with PBE, using Cu Kα X-rays.

The 8 most intense peaks (2θ = 15–90°), sorted by position:
2θ/deg	Rel. int.
23.19	403
32.03	153
36.58	362
37.49	267
39.15	1000
43.82	150
53.37	205
68.74	170

Cell and atoms:
a = 8.1259 Å, b = 4.7991 Å, c = 10.3093 Å
α = 90.00°, β = 90.00°, γ = 90.00°
Fractional coordinates of all 28 atoms:
Th 0.2329 0.2500 0.0571
Th 0.2671 0.7500 0.5571
Th 0.7329 0.2500 0.4429
Th 0.7671 0.7500 0.9429
Mn 0.0466 0.7500 0.1050
Mn 0.0679 0.0162 0.3117
Mn 0.0679 0.4838 0.3117
Mn 0.0863 0.2500 0.5305
Mn 0.1440 0.7500 0.8479
Mn 0.1944 0.2500 0.7566
Mn 0.3056 0.7500 0.2566
Mn 0.3560 0.2500 0.3479
Mn 0.4137 0.7500 0.0305
Mn 0.4321 0.5162 0.8117
Mn 0.4321 0.9838 0.8117
Mn 0.4534 0.2500 0.6050
Mn 0.5466 0.7500 0.3950
Mn 0.5679 0.0162 0.1883
Mn 0.5679 0.4838 0.1883
Mn 0.5863 0.2500 0.9695
Mn 0.6440 0.7500 0.6521
Mn 0.6944 0.2500 0.7434
Mn 0.8056 0.7500 0.2434
Mn 0.8560 0.2500 0.1521
Mn 0.9137 0.7500 0.4695
Mn 0.9321 0.5162 0.6883
Mn 0.9321 0.9838 0.6883
Mn 0.9534 0.2500 0.8950